Diffraction record for VCu4Pd15. The powder X-ray diffraction pattern is theoretical, not measured: it uses a crystal structure in Alexandria, relaxed with PBE and Cu Kα (λ = 1.5418 Å).
Kinematic intensities with the Lorentz-polarization factor, no thermal factor.

Crystal structure
Unit cell a=3.881 b=3.881 c=19.476 alpha=90.00 beta=90.00 gamma=90.00
Positions (direct):
V 0.000 0.000 0.000
Cu 0.000 0.000 0.201
Cu 0.000 0.000 0.400
Cu 0.000 0.000 0.600
Cu 0.000 0.000 0.799
Pd 0.000 0.500 0.098
Pd 0.000 0.500 0.300
Pd 0.000 0.500 0.500
Pd 0.000 0.500 0.700
Pd 0.000 0.500 0.902
Pd 0.500 0.000 0.098
Pd 0.500 0.000 0.300
Pd 0.500 0.000 0.500
Pd 0.500 0.000 0.700
Pd 0.500 0.000 0.902
Pd 0.500 0.500 0.000
Pd 0.500 0.500 0.200
Pd 0.500 0.500 0.401
Pd 0.500 0.500 0.599
Pd 0.500 0.500 0.800

Most intense lines, 10 to 80 degrees two-theta, low angle first:
(1 0 0), 22.9°, intensity 4; (1 1 0), 32.6°, intensity 3; (1 1 5), 40.2°, intensity 100; (0 0 10), 46.6°, intensity 16; (2 0 0), 46.8°, intensity 32; (1 0 10), 52.6°, intensity 1; (2 1 0), 52.7°, intensity 1; (2 1 5), 58.2°, intensity 1; (2 0 10), 68.2°, intensity 20; (2 2 0), 68.4°, intensity 10